# 1
ErSiNi: calculated powder diffractogram (Cu Kα (weighted mean of Kα1 and Kα2)), based on a crystal structure in the Materials Project, relaxed with PBE.
Intensities are scaled so that the largest is 100.

Structure:
```
data_ErSiNi
_space_group_name_H-M_alt 'P 1'
_space_group_IT_number 1
_space_group_name_Hall 'P 1'
_cell_length_a 6.761
_cell_length_b 4.120
_cell_length_c 7.074
_cell_angle_alpha 90.00
_cell_angle_beta 90.00
_cell_angle_gamma 90.00
loop_
_atom_site_label
_atom_site_fract_x
_atom_site_fract_y
_atom_site_fract_z
Er1 0.010 0.250 0.200
Er2 0.490 0.750 0.700
Er3 0.510 0.250 0.300
Er4 0.990 0.750 0.800
Si1 0.191 0.250 0.593
Si2 0.309 0.750 0.093
Si3 0.691 0.250 0.907
Si4 0.809 0.750 0.407
Ni1 0.184 0.750 0.421
Ni2 0.316 0.250 0.921
Ni3 0.684 0.750 0.079
Ni4 0.816 0.250 0.579
```

Main lines, in order of falling intensity (15° ≤ 2θ ≤ 90°):
- d = 2.451 Å, 36.66°, I 100
- d = 2.494 Å, 36.01°, I 49
- d = 3.560 Å, 25.01°, I 45
- d = 2.444 Å, 36.78°, I 38
- d = 2.047 Å, 44.26°, I 29
- d = 2.060 Å, 43.95°, I 28

=====

# 2
ErSi3Ni: calculated powder diffractogram (Cu Kα (weighted mean of Kα1 and Kα2)), based on a crystal structure in the Materials Project, relaxed with PBE.
Intensities are scaled so that the largest is 100.

Structure:
```
data_ErSi3Ni
_space_group_name_H-M_alt 'P 1'
_space_group_IT_number 1
_space_group_name_Hall 'P 1'
_cell_length_a 10.672
_cell_length_b 10.672
_cell_length_c 3.925
_cell_angle_alpha 90.00
_cell_angle_beta 90.00
_cell_angle_gamma 158.82
loop_
_atom_site_label
_atom_site_fract_x
_atom_site_fract_y
_atom_site_fract_z
Er1 0.169 0.831 0.000
Er2 0.831 0.169 0.000
Si1 0.056 0.944 0.500
Si2 0.282 0.718 0.500
Si3 0.444 0.556 0.000
Si4 0.556 0.444 0.000
Si5 0.718 0.282 0.500
Si6 0.944 0.056 0.500
Ni1 0.389 0.611 0.500
Ni2 0.611 0.389 0.500
```

Main lines, in order of falling intensity (15° ≤ 2θ ≤ 90°):
- d = 2.579 Å, 34.79°, I 100
- d = 2.611 Å, 34.35°, I 38
- d = 1.962 Å, 46.28°, I 38
- d = 5.245 Å, 16.90°, I 28
- d = 2.004 Å, 45.25°, I 27
- d = 3.421 Å, 26.05°, I 24

=====

# 3
Er4SiNi3: calculated powder diffractogram (Cu Kα (weighted mean of Kα1 and Kα2)), based on a crystal structure in the Materials Project, relaxed with PBE.
Intensities are scaled so that the largest is 100.

Structure:
```
data_Er4SiNi3
_space_group_name_H-M_alt 'P 1'
_space_group_IT_number 1
_space_group_name_Hall 'P 1'
_cell_length_a 3.879
_cell_length_b 4.017
_cell_length_c 10.300
_cell_angle_alpha 90.00
_cell_angle_beta 90.00
_cell_angle_gamma 90.00
loop_
_atom_site_label
_atom_site_fract_x
_atom_site_fract_y
_atom_site_fract_z
Er1 0.000 0.000 0.000
Er2 0.000 0.500 0.279
Er3 0.500 0.000 0.495
Er4 0.500 0.500 0.780
Si1 0.000 0.000 0.706
Ni1 0.000 0.500 0.569
Ni2 0.500 0.000 0.209
Ni3 0.500 0.500 0.068
```

Main lines, in order of falling intensity (15° ≤ 2θ ≤ 90°):
- d = 2.693 Å, 33.26°, I 100
- d = 2.572 Å, 34.88°, I 74
- d = 2.166 Å, 41.70°, I 56
- d = 3.167 Å, 28.17°, I 46
- d = 1.583 Å, 58.29°, I 34
- d = 2.008 Å, 45.15°, I 23

=====

# 4
ErSi2Ni10: calculated powder diffractogram (Cu Kα (weighted mean of Kα1 and Kα2)), based on a crystal structure in the Materials Project, relaxed with PBE.
Intensities are scaled so that the largest is 100.

Structure:
```
data_ErSi2Ni10
_space_group_name_H-M_alt 'P 1'
_space_group_IT_number 1
_space_group_name_Hall 'P 1'
_cell_length_a 8.147
_cell_length_b 8.147
_cell_length_c 4.663
_cell_angle_alpha 90.00
_cell_angle_beta 90.00
_cell_angle_gamma 90.00
loop_
_atom_site_label
_atom_site_fract_x
_atom_site_fract_y
_atom_site_fract_z
Er1 0.250 0.250 0.222
Er2 0.750 0.750 0.778
Si1 0.000 0.000 0.500
Si2 0.000 0.500 0.500
Si3 0.500 0.000 0.500
Si4 0.500 0.500 0.500
Ni1 0.000 0.000 0.000
Ni2 0.000 0.500 0.000
Ni3 0.028 0.250 0.729
Ni4 0.103 0.750 0.761
Ni5 0.250 0.028 0.729
Ni6 0.250 0.472 0.729
Ni7 0.250 0.603 0.239
Ni8 0.250 0.897 0.239
Ni9 0.397 0.750 0.761
Ni10 0.472 0.250 0.729
Ni11 0.500 0.000 0.000
Ni12 0.500 0.500 0.000
Ni13 0.528 0.750 0.271
Ni14 0.603 0.250 0.239
Ni15 0.750 0.103 0.761
Ni16 0.750 0.397 0.761
Ni17 0.750 0.528 0.271
Ni18 0.750 0.972 0.271
Ni19 0.897 0.250 0.239
Ni20 0.972 0.750 0.271
```

Main lines, in order of falling intensity (15° ≤ 2θ ≤ 90°):
- d = 2.034 Å, 44.53°, I 100
- d = 2.023 Å, 44.79°, I 34
- d = 2.347 Å, 38.36°, I 34
- d = 2.871 Å, 31.15°, I 21
- d = 2.331 Å, 38.62°, I 16
- d = 1.175 Å, 81.99°, I 14

=====

# 5
Er2Si5Ni3: calculated powder diffractogram (Cu Kα (weighted mean of Kα1 and Kα2)), based on a crystal structure in the Materials Project, relaxed with PBE.
Intensities are scaled so that the largest is 100.

Structure:
```
data_Er2Si5Ni3
_space_group_name_H-M_alt 'P 1'
_space_group_IT_number 1
_space_group_name_Hall 'P 1'
_cell_length_a 7.844
_cell_length_b 7.844
_cell_length_c 7.844
_cell_angle_alpha 104.33
_cell_angle_beta 90.49
_cell_angle_gamma 138.07
loop_
_atom_site_label
_atom_site_fract_x
_atom_site_fract_y
_atom_site_fract_z
Er1 0.130 0.237 0.368
Er2 0.370 0.737 0.107
Er3 0.630 0.263 0.893
Er4 0.870 0.763 0.632
Si1 0.014 0.750 0.264
Si2 0.109 0.651 0.759
Si3 0.250 0.250 0.000
Si4 0.391 0.151 0.542
Si5 0.486 0.750 0.736
Si6 0.514 0.250 0.264
Si7 0.609 0.849 0.458
Si8 0.750 0.750 0.000
Si9 0.891 0.349 0.241
Si10 0.986 0.250 0.736
Ni1 0.134 0.884 0.018
Ni2 0.250 0.750 0.500
Ni3 0.366 0.384 0.751
Ni4 0.634 0.616 0.249
Ni5 0.750 0.250 0.500
Ni6 0.866 0.116 0.982
```

Main lines, in order of falling intensity (15° ≤ 2θ ≤ 90°):
- d = 2.487 Å, 36.12°, I 100
- d = 2.424 Å, 37.09°, I 56
- d = 1.968 Å, 46.12°, I 54
- d = 3.644 Å, 24.43°, I 52
- d = 2.395 Å, 37.55°, I 52
- d = 1.729 Å, 52.96°, I 30

=====

# 6
ErSi3Ni5: calculated powder diffractogram (Cu Kα (weighted mean of Kα1 and Kα2)), based on a crystal structure in the Materials Project, relaxed with PBE.
Intensities are scaled so that the largest is 100.

Structure:
```
data_ErSi3Ni5
_space_group_name_H-M_alt 'P 1'
_space_group_IT_number 1
_space_group_name_Hall 'P 1'
_cell_length_a 18.672
_cell_length_b 3.779
_cell_length_c 6.647
_cell_angle_alpha 90.00
_cell_angle_beta 90.00
_cell_angle_gamma 90.00
loop_
_atom_site_label
_atom_site_fract_x
_atom_site_fract_y
_atom_site_fract_z
Er1 0.144 0.250 0.122
Er2 0.356 0.750 0.622
Er3 0.644 0.250 0.378
Er4 0.856 0.750 0.878
Si1 0.075 0.750 0.847
Si2 0.085 0.750 0.413
Si3 0.238 0.250 0.621
Si4 0.262 0.750 0.121
Si5 0.415 0.250 0.913
Si6 0.425 0.250 0.347
Si7 0.575 0.750 0.653
Si8 0.585 0.750 0.087
Si9 0.738 0.250 0.879
Si10 0.762 0.750 0.379
Si11 0.915 0.250 0.587
Si12 0.925 0.250 0.153
Ni1 0.005 0.750 0.131
Ni2 0.014 0.250 0.382
Ni3 0.114 0.250 0.643
Ni4 0.200 0.750 0.816
Ni5 0.206 0.750 0.429
Ni6 0.294 0.250 0.929
Ni7 0.300 0.250 0.316
Ni8 0.386 0.750 0.143
Ni9 0.486 0.750 0.882
Ni10 0.495 0.250 0.631
Ni11 0.505 0.750 0.369
Ni12 0.514 0.250 0.118
Ni13 0.614 0.250 0.857
Ni14 0.700 0.750 0.684
Ni15 0.706 0.750 0.071
Ni16 0.794 0.250 0.571
Ni17 0.800 0.250 0.184
Ni18 0.886 0.750 0.357
Ni19 0.986 0.750 0.618
Ni20 0.995 0.250 0.869
```

Main lines, in order of falling intensity (15° ≤ 2θ ≤ 90°):
- d = 2.316 Å, 38.88°, I 100
- d = 2.402 Å, 37.44°, I 30
- d = 1.890 Å, 48.16°, I 29
- d = 2.483 Å, 36.18°, I 19
- d = 2.475 Å, 36.30°, I 17
- d = 2.467 Å, 36.43°, I 14

=====

# 7
Er2Si3Ni: calculated powder diffractogram (Cu Kα (weighted mean of Kα1 and Kα2)), based on a crystal structure in the Materials Project, relaxed with PBE.
Intensities are scaled so that the largest is 100.

Structure:
```
data_Er2Si3Ni
_space_group_name_H-M_alt 'P 1'
_space_group_IT_number 1
_space_group_name_Hall 'P 1'
_cell_length_a 4.007
_cell_length_b 4.007
_cell_length_c 7.869
_cell_angle_alpha 90.00
_cell_angle_beta 90.00
_cell_angle_gamma 120.00
loop_
_atom_site_label
_atom_site_fract_x
_atom_site_fract_y
_atom_site_fract_z
Er1 0.000 0.000 0.240
Er2 0.000 0.000 0.760
Si1 0.333 0.667 0.500
Si2 0.667 0.333 0.000
Si3 0.667 0.333 0.500
Ni1 0.333 0.667 0.000
```

Main lines, in order of falling intensity (15° ≤ 2θ ≤ 90°):
- d = 2.603 Å, 34.46°, I 100
- d = 3.470 Å, 25.67°, I 42
- d = 2.004 Å, 45.26°, I 33
- d = 1.588 Å, 58.10°, I 22
- d = 1.244 Å, 76.57°, I 20
- d = 1.404 Å, 66.62°, I 20

=====

# 8
SmErNi2: calculated powder diffractogram (Cu Kα (weighted mean of Kα1 and Kα2)), based on a crystal structure in the Materials Project, relaxed with PBE.
Intensities are scaled so that the largest is 100.

Structure:
```
data_SmErNi2
_space_group_name_H-M_alt 'P 1'
_space_group_IT_number 1
_space_group_name_Hall 'P 1'
_cell_length_a 4.254
_cell_length_b 3.746
_cell_length_c 10.311
_cell_angle_alpha 90.00
_cell_angle_beta 90.00
_cell_angle_gamma 90.00
loop_
_atom_site_label
_atom_site_fract_x
_atom_site_fract_y
_atom_site_fract_z
Sm1 0.000 0.000 0.000
Sm2 0.000 0.500 0.500
Er1 0.500 0.000 0.721
Er2 0.500 0.500 0.221
Ni1 0.000 0.000 0.284
Ni2 0.000 0.500 0.784
Ni3 0.500 0.000 0.430
Ni4 0.500 0.500 0.930
```

Main lines, in order of falling intensity (15° ≤ 2θ ≤ 90°):
- d = 2.712 Å, 33.02°, I 100
- d = 2.176 Å, 41.50°, I 48
- d = 2.533 Å, 35.44°, I 41
- d = 3.281 Å, 27.18°, I 39
- d = 1.628 Å, 56.52°, I 32
- d = 2.127 Å, 42.50°, I 27

=====

# 9
Er2NiSn6: calculated powder diffractogram (Cu Kα (weighted mean of Kα1 and Kα2)), based on a crystal structure in the Materials Project, relaxed with PBE.
Intensities are scaled so that the largest is 100.

Structure:
```
data_Er2NiSn6
_space_group_name_H-M_alt 'P 1'
_space_group_IT_number 1
_space_group_name_Hall 'P 1'
_cell_length_a 11.429
_cell_length_b 11.429
_cell_length_c 4.423
_cell_angle_alpha 90.00
_cell_angle_beta 90.00
_cell_angle_gamma 157.94
loop_
_atom_site_label
_atom_site_fract_x
_atom_site_fract_y
_atom_site_fract_z
Er1 0.179 0.821 0.000
Er2 0.821 0.179 0.000
Ni1 0.500 0.500 0.500
Sn1 0.071 0.929 0.500
Sn2 0.296 0.704 0.500
Sn3 0.430 0.570 0.000
Sn4 0.570 0.430 0.000
Sn5 0.704 0.296 0.500
Sn6 0.929 0.071 0.500
```

Main lines, in order of falling intensity (15° ≤ 2θ ≤ 90°):
- d = 2.556 Å, 35.11°, I 100
- d = 2.871 Å, 31.15°, I 57
- d = 2.805 Å, 31.91°, I 31
- d = 2.211 Å, 40.81°, I 28
- d = 2.187 Å, 41.29°, I 28
- d = 1.360 Å, 69.04°, I 20

=====

# 10
ErNiSn2: calculated powder diffractogram (Cu Kα (weighted mean of Kα1 and Kα2)), based on a crystal structure in the Materials Project, relaxed with PBE.
Intensities are scaled so that the largest is 100.

Structure:
```
data_ErNiSn2
_space_group_name_H-M_alt 'P 1'
_space_group_IT_number 1
_space_group_name_Hall 'P 1'
_cell_length_a 16.072
_cell_length_b 4.419
_cell_length_c 14.583
_cell_angle_alpha 90.00
_cell_angle_beta 90.00
_cell_angle_gamma 90.00
loop_
_atom_site_label
_atom_site_fract_x
_atom_site_fract_y
_atom_site_fract_z
Er1 0.131 0.250 0.224
Er2 0.145 0.750 0.603
Er3 0.151 0.250 0.973
Er4 0.349 0.750 0.473
Er5 0.355 0.250 0.103
Er6 0.369 0.750 0.724
Er7 0.631 0.250 0.276
Er8 0.645 0.750 0.897
Er9 0.651 0.250 0.527
Er10 0.849 0.750 0.027
Er11 0.855 0.250 0.397
Er12 0.869 0.750 0.776
Ni1 0.055 0.750 0.106
Ni2 0.190 0.250 0.744
Ni3 0.201 0.250 0.451
Ni4 0.299 0.750 0.951
Ni5 0.310 0.750 0.244
Ni6 0.445 0.250 0.606
Ni7 0.555 0.750 0.394
Ni8 0.690 0.250 0.756
Ni9 0.701 0.250 0.049
Ni10 0.799 0.750 0.549
Ni11 0.810 0.750 0.256
Ni12 0.945 0.250 0.894
Sn1 0.018 0.750 0.921
Sn2 0.027 0.250 0.734
Sn3 0.043 0.250 0.446
Sn4 0.176 0.750 0.368
Sn5 0.181 0.750 0.823
Sn6 0.217 0.750 0.103
Sn7 0.283 0.250 0.603
Sn8 0.319 0.250 0.323
Sn9 0.324 0.250 0.868
Sn10 0.457 0.750 0.946
Sn11 0.473 0.750 0.234
Sn12 0.482 0.250 0.421
Sn13 0.518 0.750 0.579
Sn14 0.527 0.250 0.766
Sn15 0.543 0.250 0.054
Sn16 0.676 0.750 0.132
Sn17 0.681 0.750 0.677
Sn18 0.717 0.750 0.397
Sn19 0.783 0.250 0.897
Sn20 0.819 0.250 0.177
Sn21 0.824 0.250 0.632
Sn22 0.957 0.750 0.554
Sn23 0.973 0.750 0.266
Sn24 0.982 0.250 0.079
```

Main lines, in order of falling intensity (15° ≤ 2θ ≤ 90°):
- d = 2.560 Å, 35.05°, I 100
- d = 2.654 Å, 33.77°, I 100
- d = 2.210 Å, 40.84°, I 60
- d = 2.346 Å, 38.37°, I 37
- d = 2.490 Å, 36.07°, I 34
- d = 3.029 Å, 29.49°, I 32

=====

# 11
ErNiSn: calculated powder diffractogram (Cu Kα (weighted mean of Kα1 and Kα2)), based on a crystal structure in the Materials Project, relaxed with PBE.
Intensities are scaled so that the largest is 100.

Structure:
```
data_ErNiSn
_space_group_name_H-M_alt 'P 1'
_space_group_IT_number 1
_space_group_name_Hall 'P 1'
_cell_length_a 7.075
_cell_length_b 4.448
_cell_length_c 7.693
_cell_angle_alpha 90.00
_cell_angle_beta 90.00
_cell_angle_gamma 90.00
loop_
_atom_site_label
_atom_site_fract_x
_atom_site_fract_y
_atom_site_fract_z
Er1 0.008 0.250 0.203
Er2 0.492 0.750 0.703
Er3 0.508 0.250 0.297
Er4 0.992 0.750 0.797
Ni1 0.199 0.750 0.413
Ni2 0.301 0.250 0.913
Ni3 0.699 0.750 0.087
Ni4 0.801 0.250 0.587
Sn1 0.194 0.250 0.586
Sn2 0.306 0.750 0.086
Sn3 0.694 0.250 0.914
Sn4 0.806 0.750 0.414
```

Main lines, in order of falling intensity (15° ≤ 2θ ≤ 90°):
- d = 2.605 Å, 34.43°, I 100
- d = 2.222 Å, 40.59°, I 63
- d = 2.691 Å, 33.30°, I 31
- d = 1.691 Å, 54.25°, I 19
- d = 1.413 Å, 66.12°, I 16
- d = 2.255 Å, 39.99°, I 15